(1)
This entry pairs a crystal structure of ScTl6I8 with its calculated X-ray diffraction stick pattern. Radiation: CuKα. Structure: DFT lattice parameters and positions (GGA-PBE).
Peak positions follow from Bragg's law for the DFT cell and can differ from measured ones.

Cell and atoms:
```
15
Lattice="10.497 0.000 0.000 -5.248 9.090 0.000 0.000 0.000 6.849" Properties=species:S:1:pos:R:3 pbc="T T T"
Sc 0.000 0.000 0.000
Tl -1.987 3.441 5.401
Tl -3.262 5.650 1.448
Tl 3.973 0.000 5.401
Tl 1.987 3.441 1.448
Tl 6.524 0.000 1.448
Tl 3.262 5.650 5.401
I -1.241 2.150 1.654
I -4.007 6.941 5.195
I 2.483 0.000 1.654
I 1.241 2.150 5.195
I 0.000 6.060 0.000
I 5.248 3.030 0.000
I 8.014 0.000 5.195
I 4.007 6.941 1.654
```

Largest 12 diffraction maxima, most intense first, 2θ from 10° to 90°:
| d [Å] | Position (°2θ) | intensity |
| --- | --- | --- |
| 3.071 | 29.08 | 100 |
| 2.868 | 31.18 | 53 |
| 3.030 | 29.48 | 48 |
| 3.428 | 25.99 | 38 |
| 4.166 | 21.33 | 27 |
| 2.451 | 36.67 | 26 |
| 6.849 | 12.93 | 24 |
| 5.248 | 16.89 | 21 |
| 1.902 | 47.83 | 20 |
| 2.083 | 43.44 | 18 |
| 1.606 | 57.38 | 17 |
| 2.366 | 38.03 | 15 |

---

(2)
This entry pairs a crystal structure of YSc2I6 with its calculated X-ray diffraction stick pattern. Radiation: CuKα. Structure: DFT lattice parameters and positions (GGA-PBE).
Peak positions follow from Bragg's law for the DFT cell and can differ from measured ones.

Cell and atoms:
```
9
Lattice="8.411 -2.036 0.000 8.411 2.036 0.000 -4.875 0.000 10.088" Properties=species:S:1:pos:R:3 pbc="T T T"
Y 0.000 0.000 0.000
Sc 2.270 0.000 6.559
Sc 9.676 0.000 3.529
I -0.863 0.000 2.931
I 3.355 0.000 3.860
I 1.321 0.000 9.475
I 10.624 0.000 0.613
I 8.591 0.000 6.227
I 12.808 0.000 7.157
```

Largest 12 diffraction maxima, most intense first, 2θ from 10° to 90°:
| d [Å] | Position (°2θ) | intensity |
| --- | --- | --- |
| 3.170 | 28.15 | 100 |
| 3.287 | 27.13 | 47 |
| 7.937 | 11.15 | 43 |
| 2.169 | 41.64 | 41 |
| 3.969 | 22.40 | 37 |
| 2.783 | 32.16 | 34 |
| 3.363 | 26.51 | 30 |
| 2.577 | 34.82 | 26 |
| 2.044 | 44.30 | 26 |
| 2.036 | 44.49 | 17 |
| 2.524 | 35.57 | 14 |
| 1.422 | 65.68 | 14 |

---

(3)
This entry pairs a crystal structure of YScI4 with its calculated X-ray diffraction stick pattern. Radiation: CuKα. Structure: DFT lattice parameters and positions (GGA-PBE).
Peak positions follow from Bragg's law for the DFT cell and can differ from measured ones.

Cell and atoms:
```
6
Lattice="7.129 0.000 0.000 0.000 4.098 0.000 -0.059 0.000 7.886" Properties=species:S:1:pos:R:3 pbc="T T T"
Y 0.000 0.000 0.000
Sc 3.565 2.049 0.000
I 1.204 2.049 5.972
I 2.440 0.000 1.842
I 4.631 0.000 6.044
I 5.867 2.049 1.914
```

Largest 12 diffraction maxima, most intense first, 2θ from 10° to 90°:
| d [Å] | Position (°2θ) | intensity |
| --- | --- | --- |
| 3.241 | 27.52 | 100 |
| 7.886 | 11.22 | 23 |
| 2.109 | 42.87 | 22 |
| 2.644 | 33.90 | 21 |
| 2.635 | 34.03 | 21 |
| 2.056 | 44.05 | 20 |
| 3.943 | 22.55 | 19 |
| 2.123 | 42.58 | 10 |
| 2.049 | 44.21 | 10 |
| 3.257 | 27.38 | 9 |
| 1.818 | 50.18 | 9 |
| 1.732 | 52.88 | 9 |

---

(4)
This entry pairs a crystal structure of ScZn3I9 with its calculated X-ray diffraction stick pattern. Radiation: CuKα. Structure: DFT lattice parameters and positions (GGA-PBE).
Peak positions follow from Bragg's law for the DFT cell and can differ from measured ones.

Cell and atoms:
```
26
Lattice="9.871 -5.046 0.000 9.871 5.046 0.000 -8.853 0.000 11.190" Properties=species:S:1:pos:R:3 pbc="T T T"
Sc 5.444 2.731 5.595
Sc 9.871 -2.731 0.000
Zn -4.648 1.168 9.192
Zn -0.221 -1.168 3.597
Zn 1.224 0.736 7.450
Zn 5.651 -0.736 1.855
Zn 12.491 0.647 2.441
Zn 8.064 -0.647 8.036
I 1.044 0.610 2.107
I 7.024 4.194 3.609
I 5.688 1.315 0.202
I -3.383 -0.610 7.702
I 3.597 1.909 7.747
I 4.645 0.383 4.097
I 1.261 -1.315 5.797
I 0.219 -0.383 9.693
I 9.996 1.503 2.505
I 13.907 2.390 0.996
I 7.911 1.276 6.177
I 8.024 -1.909 2.152
I 5.569 -1.503 8.100
I 12.338 -1.276 0.582
I 8.758 0.385 10.377
I 13.185 -0.385 4.782
I 2.597 -4.194 9.204
I 9.481 -2.390 6.591
```

Largest 12 diffraction maxima, most intense first, 2θ from 10° to 90°:
| d [Å] | Position (°2θ) | intensity |
| --- | --- | --- |
| 3.430 | 25.98 | 100 |
| 3.665 | 24.28 | 77 |
| 5.858 | 15.12 | 68 |
| 3.571 | 24.94 | 62 |
| 3.598 | 24.75 | 61 |
| 3.348 | 26.62 | 51 |
| 3.071 | 29.08 | 33 |
| 2.319 | 38.84 | 31 |
| 3.273 | 27.25 | 30 |
| 1.999 | 45.37 | 29 |
| 1.837 | 49.63 | 29 |
| 3.747 | 23.74 | 27 |

---

(5)
This entry pairs a crystal structure of Zr2ScI6 with its calculated X-ray diffraction stick pattern. Radiation: CuKα. Structure: DFT lattice parameters and positions (GGA-PBE).
Peak positions follow from Bragg's law for the DFT cell and can differ from measured ones.

Cell and atoms:
```
18
Lattice="8.060 -7.491 0.000 8.060 7.491 0.000 -3.134 0.000 6.430" Properties=species:S:1:pos:R:3 pbc="T T T"
Zr 3.249 0.038 0.318
Zr 1.682 -0.038 3.533
Zr 11.304 0.038 2.898
Zr 9.737 -0.038 6.113
Sc 5.709 6.854 4.823
Sc 7.276 -6.854 1.608
I 5.524 5.810 2.066
I 1.952 2.296 1.713
I 9.029 5.810 1.149
I 2.812 0.988 6.074
I 0.386 -2.296 4.928
I 4.379 -0.988 2.858
I 8.607 0.988 3.572
I 12.600 2.296 1.502
I 10.174 -0.988 0.357
I 3.957 -5.810 5.281
I 11.033 -2.296 4.717
I 7.462 -5.810 4.365
```

Largest 12 diffraction maxima, most intense first, 2θ from 10° to 90°:
| d [Å] | Position (°2θ) | intensity |
| --- | --- | --- |
| 7.491 | 11.81 | 100 |
| 3.539 | 25.17 | 61 |
| 2.849 | 31.40 | 57 |
| 3.234 | 27.58 | 47 |
| 7.245 | 12.22 | 37 |
| 2.708 | 33.07 | 30 |
| 3.151 | 28.32 | 28 |
| 2.815 | 31.79 | 24 |
| 2.051 | 44.17 | 24 |
| 2.268 | 39.75 | 23 |
| 2.417 | 37.21 | 23 |
| 3.384 | 26.34 | 21 |

---

(6)
This entry pairs a crystal structure of SeI3 with its calculated X-ray diffraction stick pattern. Radiation: CuKα. Structure: DFT lattice parameters and positions (GGA-PBE).
Peak positions follow from Bragg's law for the DFT cell and can differ from measured ones.

Cell and atoms:
```
8
Lattice="6.759 0.000 0.000 3.332 7.657 0.000 3.355 -0.382 9.334" Properties=species:S:1:pos:R:3 pbc="T T T"
Se 0.000 0.000 0.000
Se 5.534 6.475 4.632
I 2.665 1.253 5.559
I 4.049 4.113 5.298
I 3.828 5.209 0.887
I 2.360 1.057 0.295
I 7.896 5.426 4.940
I 5.268 2.371 0.653
```

Largest 12 diffraction maxima, most intense first, 2θ from 10° to 90°:
| d [Å] | Position (°2θ) | intensity |
| --- | --- | --- |
| 4.667 | 19.02 | 100 |
| 5.840 | 15.17 | 44 |
| 4.423 | 20.08 | 25 |
| 2.597 | 34.54 | 20 |
| 3.084 | 28.95 | 19 |
| 6.039 | 14.67 | 17 |
| 5.898 | 15.02 | 17 |
| 5.802 | 15.27 | 16 |
| 2.927 | 30.54 | 16 |
| 1.967 | 46.15 | 14 |
| 2.584 | 34.71 | 13 |
| 3.367 | 26.48 | 12 |

---

(7)
This entry pairs a crystal structure of SeI3 with its calculated X-ray diffraction stick pattern. Radiation: CuKα. Structure: DFT lattice parameters and positions (GGA-PBE).
Peak positions follow from Bragg's law for the DFT cell and can differ from measured ones.

Cell and atoms:
```
8
Lattice="5.442 0.000 0.000 -0.640 8.603 0.000 -2.655 -3.640 8.634" Properties=species:S:1:pos:R:3 pbc="T T T"
Se 0.000 0.000 0.000
Se 0.824 7.429 1.297
I -1.664 0.363 6.674
I 0.297 -1.037 3.783
I 1.602 3.055 0.640
I 0.419 3.177 7.756
I 2.379 2.366 3.558
I 3.710 4.926 3.776
```

Largest 12 diffraction maxima, most intense first, 2θ from 10° to 90°:
| d [Å] | Position (°2θ) | intensity |
| --- | --- | --- |
| 4.275 | 20.78 | 100 |
| 3.222 | 27.69 | 57 |
| 4.050 | 21.94 | 36 |
| 2.882 | 31.03 | 34 |
| 2.323 | 38.77 | 31 |
| 4.317 | 20.57 | 27 |
| 4.742 | 18.71 | 24 |
| 2.507 | 35.81 | 20 |
| 2.643 | 33.92 | 19 |
| 4.619 | 19.21 | 19 |
| 3.096 | 28.84 | 16 |
| 3.297 | 27.04 | 15 |

---

(8)
This entry pairs a crystal structure of SeI3 with its calculated X-ray diffraction stick pattern. Radiation: CuKα. Structure: DFT lattice parameters and positions (GGA-PBE).
Peak positions follow from Bragg's law for the DFT cell and can differ from measured ones.

Cell and atoms:
```
8
Lattice="8.987 -4.470 0.000 8.987 4.470 0.000 -1.070 0.000 5.274" Properties=species:S:1:pos:R:3 pbc="T T T"
Se 0.000 0.000 0.000
Se 2.197 0.000 1.152
I 7.591 2.357 0.909
I 5.915 0.000 1.786
I 11.181 2.351 2.836
I 11.397 0.000 4.697
I 7.591 -2.357 0.909
I 11.181 -2.351 2.836
```

Largest 12 diffraction maxima, most intense first, 2θ from 10° to 90°:
| d [Å] | Position (°2θ) | intensity |
| --- | --- | --- |
| 3.327 | 26.79 | 100 |
| 4.404 | 20.16 | 89 |
| 4.593 | 19.33 | 72 |
| 4.174 | 21.29 | 57 |
| 3.050 | 29.28 | 48 |
| 2.176 | 41.50 | 47 |
| 4.908 | 18.07 | 47 |
| 4.982 | 17.80 | 47 |
| 2.381 | 37.78 | 37 |
| 2.235 | 40.35 | 34 |
| 2.543 | 35.30 | 32 |
| 5.274 | 16.81 | 29 |

---

(9)
This entry pairs a crystal structure of SeI3 with its calculated X-ray diffraction stick pattern. Radiation: CuKα. Structure: DFT lattice parameters and positions (GGA-PBE).
Peak positions follow from Bragg's law for the DFT cell and can differ from measured ones.

Cell and atoms:
```
8
Lattice="6.325 0.000 0.000 -0.014 8.588 0.000 -0.631 -4.159 8.026" Properties=species:S:1:pos:R:3 pbc="T T T"
Se 0.000 0.000 0.000
Se 0.132 2.452 6.852
I 1.978 1.196 1.156
I 1.872 3.168 4.990
I 2.252 5.326 0.647
I 3.819 3.512 2.581
I 4.966 0.012 4.184
I 5.312 -2.156 5.964
```

Largest 12 diffraction maxima, most intense first, 2θ from 10° to 90°:
| d [Å] | Position (°2θ) | intensity |
| --- | --- | --- |
| 5.160 | 17.18 | 100 |
| 4.771 | 18.60 | 79 |
| 3.812 | 23.33 | 57 |
| 3.178 | 28.08 | 55 |
| 3.589 | 24.80 | 32 |
| 4.746 | 18.70 | 30 |
| 2.387 | 37.68 | 30 |
| 2.032 | 44.59 | 29 |
| 3.829 | 23.23 | 28 |
| 2.908 | 30.75 | 25 |
| 2.581 | 34.76 | 23 |
| 7.519 | 11.77 | 23 |

---

(10)
This entry pairs a crystal structure of Sn4Se4I with its calculated X-ray diffraction stick pattern. Radiation: CuKα. Structure: DFT lattice parameters and positions (GGA-PBE).
Peak positions follow from Bragg's law for the DFT cell and can differ from measured ones.

Cell and atoms:
```
9
Lattice="-4.897 4.897 2.953 4.897 -4.897 2.953 4.897 4.897 -2.953" Properties=species:S:1:pos:R:3 pbc="T T T"
Sn 3.141 0.953 0.000
Sn 3.944 -1.756 2.953
Sn 0.953 6.653 0.000
Sn 1.756 3.944 2.953
Se 5.912 1.787 0.000
Se 1.787 3.881 0.000
Se 3.110 1.016 2.953
Se -1.016 3.110 2.953
I 0.000 0.000 0.000
```

Largest 12 diffraction maxima, most intense first, 2θ from 10° to 90°:
| d [Å] | Position (°2θ) | intensity |
| --- | --- | --- |
| 3.097 | 28.83 | 100 |
| 2.137 | 42.29 | 71 |
| 2.953 | 30.27 | 47 |
| 1.759 | 51.99 | 39 |
| 2.190 | 41.22 | 38 |
| 1.254 | 75.87 | 22 |
| 5.058 | 17.54 | 20 |
| 6.925 | 12.78 | 18 |
| 1.333 | 70.68 | 16 |
| 1.385 | 67.64 | 15 |
| 1.371 | 68.41 | 14 |
| 1.224 | 78.06 | 12 |

---

(11)
This entry pairs a crystal structure of Sn4Se2I3 with its calculated X-ray diffraction stick pattern. Radiation: CuKα. Structure: DFT lattice parameters and positions (GGA-PBE).
Peak positions follow from Bragg's law for the DFT cell and can differ from measured ones.

Cell and atoms:
```
9
Lattice="3.900 -2.248 0.000 3.900 2.248 0.000 -0.033 0.000 18.306" Properties=species:S:1:pos:R:3 pbc="T T T"
Sn -0.004 0.000 5.389
Sn 2.599 0.000 2.244
Sn 5.168 0.000 16.062
Sn 7.772 0.000 12.917
Se 2.570 0.000 14.619
Se 5.197 0.000 3.687
I 0.000 0.000 0.000
I 2.594 0.000 7.253
I 5.174 0.000 11.053
```

Largest 12 diffraction maxima, most intense first, 2θ from 10° to 90°:
| d [Å] | Position (°2θ) | intensity |
| --- | --- | --- |
| 3.284 | 27.15 | 100 |
| 2.250 | 40.08 | 52 |
| 2.967 | 30.12 | 41 |
| 2.172 | 41.59 | 28 |
| 1.855 | 49.12 | 13 |
| 2.668 | 33.59 | 13 |
| 1.432 | 65.13 | 11 |
| 2.402 | 37.44 | 11 |
| 1.419 | 65.80 | 10 |
| 3.812 | 23.34 | 10 |
| 1.706 | 53.75 | 7 |
| 1.283 | 73.89 | 7 |

---

(12)
This entry pairs a crystal structure of Sn3Se3I with its calculated X-ray diffraction stick pattern. Radiation: CuKα. Structure: DFT lattice parameters and positions (GGA-PBE).
Peak positions follow from Bragg's law for the DFT cell and can differ from measured ones.

Cell and atoms:
```
14
Lattice="10.135 0.000 0.000 -5.067 8.777 0.000 0.000 0.000 5.809" Properties=species:S:1:pos:R:3 pbc="T T T"
Sn -0.836 2.748 1.452
Sn -2.270 8.127 1.452
Sn 1.962 2.098 4.356
Sn 3.106 6.679 1.452
Sn 7.337 0.650 4.356
Sn 5.903 6.029 4.356
Se -0.930 2.640 4.356
Se -2.316 8.263 4.356
Se 1.821 2.126 1.452
Se 3.246 6.651 4.356
Se 7.383 0.515 1.452
Se 5.998 6.137 1.452
I 0.000 5.851 1.452
I 5.067 2.926 4.356
```

Largest 12 diffraction maxima, most intense first, 2θ from 10° to 90°:
| d [Å] | Position (°2θ) | intensity |
| --- | --- | --- |
| 4.389 | 20.23 | 100 |
| 2.434 | 36.93 | 98 |
| 1.866 | 48.81 | 89 |
| 2.904 | 30.79 | 80 |
| 4.844 | 18.32 | 62 |
| 3.317 | 26.88 | 59 |
| 2.926 | 30.56 | 48 |
| 2.422 | 37.12 | 43 |
| 1.265 | 75.09 | 38 |
| 2.185 | 41.32 | 37 |
| 2.061 | 43.93 | 35 |
| 2.881 | 31.04 | 32 |

---

(13)
This entry pairs a crystal structure of Sr7SeI12 with its calculated X-ray diffraction stick pattern. Radiation: CuKα. Structure: DFT lattice parameters and positions (GGA-PBE).
Peak positions follow from Bragg's law for the DFT cell and can differ from measured ones.

Cell and atoms:
```
20
Lattice="8.421 4.862 3.913 -8.421 4.862 3.913 0.000 -9.724 3.913" Properties=species:S:1:pos:R:3 pbc="T T T"
Sr 0.000 0.000 0.000
Sr -1.848 -1.921 3.988
Sr -0.740 2.561 3.988
Sr 2.587 -0.639 3.988
Sr -2.588 0.639 7.750
Sr 0.740 -2.561 7.750
Sr 1.848 1.921 7.750
Se 0.000 0.000 5.869
I -2.531 0.651 2.027
I 0.701 -2.517 2.027
I -4.490 -1.180 5.771
I -1.223 -4.478 5.967
I 1.829 1.866 2.027
I -3.267 3.298 5.967
I 3.267 -3.298 5.771
I -1.829 -1.866 9.711
I 1.223 4.478 5.771
I 4.490 1.180 5.967
I -0.701 2.517 9.711
I 2.531 -0.651 9.711
```

Largest 12 diffraction maxima, most intense first, 2θ from 10° to 90°:
| d [Å] | Position (°2θ) | intensity |
| --- | --- | --- |
| 3.331 | 26.76 | 100 |
| 2.375 | 37.87 | 39 |
| 2.336 | 38.55 | 37 |
| 3.825 | 23.26 | 29 |
| 1.912 | 47.55 | 20 |
| 1.500 | 61.86 | 17 |
| 1.480 | 62.80 | 17 |
| 1.665 | 55.15 | 13 |
| 1.356 | 69.29 | 12 |
| 2.006 | 45.21 | 10 |
| 3.913 | 22.73 | 10 |
| 6.195 | 14.30 | 8 |